(1)
Theoretical XRD peak list of Na2TeMoO6 for Cu Kα (weighted mean of Kα1 and Kα2), from a structure optimized by DFT (PBE+U).

The 6 most intense peaks (2θ from 10° to 90°), in order of rising 2θ:
18.74°, I 62.5, (0 0 1)
22.25°, I 75.7, (1 1 0)
29.24°, I 100.0, (1 1 1)
31.66°, I 39.8, (2 0 0)
45.39°, I 32.6, (2 2 0)
54.91°, I 32.9, (3 1 1)

Structure:
a = 5.651 Å, b = 5.651 Å, c = 4.735 Å
α = 90.00°, β = 90.00°, γ = 90.00°
Space group P4mm (No. 99)
One atom of each set of equivalent atoms:
Na (0.000, 0.500, 0.000)
Te (0.000, 0.000, 0.615)
Mo (0.500, 0.500, 0.576)
O (0.000, 0.000, 0.222)
O (0.268, 0.268, 0.683)
O (0.500, 0.500, 0.203)

(2)
Theoretical XRD peak list of Li6Ni11O22 for Cu Kα (weighted mean of Kα1 and Kα2), from a structure optimized by DFT (PBE+U).

The 6 most intense peaks (2θ from 10° to 90°), in order of rising 2θ:
18.24°, I 100.0, (0 1 1)
36.45°, I 12.2, (2 -1 2)
36.93°, I 16.6, (1 2 -2)
43.72°, I 17.9, (2 -2 1)
44.44°, I 17.1, (1 1 -3)
44.75°, I 16.6, (3 3 2)

Structure:
a = 7.468 Å, b = 7.681 Å, c = 7.694 Å
α = 84.87°, β = 69.04°, γ = 66.31°
Space group P1 (No. 1)
One atom of each set of equivalent atoms:
Li (0.000, 0.000, 0.000)
Li (0.089, 0.726, 0.271)
Li (0.267, 0.206, 0.798)
Li (0.458, 0.633, 0.361)
Li (0.634, 0.100, 0.907)
Li (0.817, 0.523, 0.470)
Ni (0.047, 0.867, 0.634)
Ni (0.133, 0.596, 0.907)
Ni (0.223, 0.322, 0.179)
Ni (0.325, 0.041, 0.446)
Ni (0.406, 0.777, 0.726)
Ni (0.498, 0.499, 0.996)
Ni (0.590, 0.228, 0.273)
Ni (0.688, 0.949, 0.542)
Ni (0.768, 0.686, 0.825)
Ni (0.864, 0.407, 0.092)
Ni (0.957, 0.135, 0.363)
O (0.006, 0.454, 0.848)
O (0.078, 0.280, 0.422)
O (0.100, 0.191, 0.094)
O (0.181, 0.996, 0.706)
O (0.191, 0.904, 0.388)
O (0.248, 0.744, 0.971)
O (0.282, 0.652, 0.641)
O (0.342, 0.471, 0.243)
O (0.365, 0.362, 0.931)
O (0.456, 0.106, 0.191)
O (0.458, 0.165, 0.521)
O (0.533, 0.921, 0.789)
O (0.567, 0.800, 0.480)
O (0.628, 0.557, 0.748)
O (0.630, 0.622, 0.081)
O (0.722, 0.366, 0.337)
O (0.747, 0.257, 0.026)
O (0.809, 0.079, 0.627)
O (0.844, 0.985, 0.298)
O (0.905, 0.832, 0.882)
O (0.917, 0.735, 0.560)
O (0.988, 0.539, 0.175)